No. 1
Computed X-ray powder pattern of Ca4MgGa3 for λ = 1.5418 Å (Cu Kα), from a crystal structure in Alexandria, relaxed with GGA-PBE.

Atomic structure:
a b c (Å): 10.469 7.556 5.235
angles (deg): 90.00 90.00 90.00
Sites, in units of the cell vectors:
Ca: 0.000 0.240 0.000
Ca: 0.000 0.760 0.000
Ca: 0.250 0.240 0.497
Ca: 0.250 0.760 0.497
Ca: 0.500 0.240 0.000
Ca: 0.500 0.760 0.000
Ca: 0.750 0.240 0.503
Ca: 0.750 0.760 0.503
Mg: 0.000 0.500 0.500
Mg: 0.500 0.500 0.500
Ga: 0.000 0.000 0.500
Ga: 0.250 0.000 0.996
Ga: 0.250 0.500 0.997
Ga: 0.500 0.000 0.500
Ga: 0.750 0.000 0.004
Ga: 0.750 0.500 0.003

Peak list (10 most intense, 10° ≤ 2θ ≤ 90°, most intense first)
33.91°, I = 1000
34.26°, I = 489
61.12°, I = 331
60.44°, I = 168
49.24°, I = 166
71.35°, I = 99
48.18°, I = 87
82.39°, I = 71
80.58°, I = 68
82.19°, I = 67

=====

No. 2
Computed X-ray powder pattern of TbPr5HoEr2 for λ = 1.5418 Å (Cu Kα), from a crystal structure in Alexandria, relaxed with GGA-PBE.

Atomic structure:
a b c (Å): 10.661 10.661 10.759
angles (deg): 90.00 90.00 149.22
Sites, in units of the cell vectors:
Tb: 0.198 0.802 0.500
Tb: 0.802 0.198 0.000
Pr: 0.015 0.985 0.505
Pr: 0.280 0.720 0.802
Pr: 0.296 0.704 0.195
Pr: 0.384 0.616 0.510
Pr: 0.484 0.516 0.233
Pr: 0.516 0.484 0.733
Pr: 0.616 0.384 0.010
Pr: 0.704 0.296 0.695
Pr: 0.720 0.280 0.302
Pr: 0.985 0.015 0.005
Ho: 0.407 0.593 0.953
Ho: 0.593 0.407 0.453
Er: 0.112 0.888 0.230
Er: 0.114 0.886 0.795
Er: 0.886 0.114 0.295
Er: 0.888 0.112 0.730

Peak list (10 most intense, 10° ≤ 2θ ≤ 90°, most intense first)
31.63°, I = 1000
29.81°, I = 217
56.32°, I = 171
33.31°, I = 103
27.32°, I = 94
55.22°, I = 92
46.59°, I = 81
26.30°, I = 80
60.43°, I = 77
57.99°, I = 76

=====

No. 3
Computed X-ray powder pattern of In3CuAs2Se2 for λ = 1.5418 Å (Cu Kα), from a crystal structure in Alexandria, relaxed with GGA-PBE.

Atomic structure:
a b c (Å): 4.294 4.294 11.950
angles (deg): 90.00 90.00 90.00
Sites, in units of the cell vectors:
In: 0.000 0.000 0.000
In: 0.500 0.500 0.263
In: 0.500 0.500 0.737
Cu: 0.000 0.000 0.500
As: 0.000 0.500 0.132
As: 0.500 0.000 0.868
Se: 0.000 0.500 0.603
Se: 0.500 0.000 0.397

Peak list (10 most intense, 10° ≤ 2θ ≤ 90°, most intense first)
25.54°, I = 1000
42.45°, I = 455
49.88°, I = 312
42.08°, I = 261
77.16°, I = 150
50.51°, I = 122
67.78°, I = 98
61.03°, I = 84
82.60°, I = 70
67.25°, I = 62